This entry pairs a crystal structure of MnPb3Cl2F6 with its simulated powder XRD pattern. Radiation: λ = 1.5418 Å (Cu Kα). Structure: a GGA+U-relaxed structure.

a = 13.1295 Å, b = 7.2373 Å, c = 5.5640 Å
α = 90.00°, β = 98.34°, γ = 90.00°
Space group C2/m (No. 12)
One atom of each set of equivalent atoms:
Mn  0.0000  0.0000  0.0000
Pb  0.0000  0.5000  0.5000
Pb  0.2500  0.2500  0.0000
Cl  0.2021  0.5000  0.3692
F  0.0645  0.2422  0.8006
F  0.1528  0.0000  0.1631

Largest 10 diffraction maxima, sorted by position, 10° ≤ 2θ ≤ 80°:
- 4.537 Å, I = 86, hkl 2 0 -1
- 4.305 Å, I = 45, hkl 1 1 -1
- 4.014 Å, I = 55, hkl 1 1 1
- 3.928 Å, I = 66, hkl 2 0 1
- 3.248 Å, I = 70, hkl 4 0 0
- 3.161 Å, I = 87, hkl 2 2 0
- 3.024 Å, I = 100, hkl 0 2 1
- 2.307 Å, I = 44, hkl 4 2 -1
- 2.153 Å, I = 59, hkl 2 2 -2
- 2.130 Å, I = 48, hkl 4 2 1

This entry pairs a crystal structure of Rb3Mn2Cl5F2 with its simulated powder XRD pattern. Radiation: λ = 1.5418 Å (Cu Kα). Structure: a GGA+U-relaxed structure.

a = 5.2025 Å, b = 5.2025 Å, c = 23.7669 Å
α = 90.00°, β = 90.00°, γ = 90.00°
Space group I4/mmm (No. 139)
One atom of each set of equivalent atoms:
Rb  0.0000  0.0000  0.0000
Rb  0.0000  0.0000  0.1927
Mn  0.0000  0.0000  0.3910
Cl  0.0000  0.0000  0.5000
Cl  0.0000  0.5000  0.1056
F  0.0000  0.0000  0.3056

Largest 10 diffraction maxima, sorted by position, 10° ≤ 2θ ≤ 80°:
- 3.679 Å, I = 61, hkl 1 1 0
- 3.509 Å, I = 100, hkl 1 0 5
- 3.128 Å, I = 28, hkl 1 1 4
- 2.696 Å, I = 43, hkl 1 1 6
- 2.601 Å, I = 92, hkl 2 0 0
- 2.377 Å, I = 30, hkl 0 0 10
- 2.090 Å, I = 46, hkl 2 1 5
- 1.839 Å, I = 30, hkl 2 2 0
- 1.755 Å, I = 44, hkl 2 0 10
- 1.455 Å, I = 22, hkl 2 2 10

This entry pairs a crystal structure of Rb3Mn2Cl4F3 with its simulated powder XRD pattern. Radiation: λ = 1.5418 Å (Cu Kα). Structure: a GGA+U-relaxed structure.

a = 4.3016 Å, b = 25.8513 Å, c = 5.2157 Å
α = 90.00°, β = 90.00°, γ = 90.00°
Space group Imm2 (No. 44)
One atom of each set of equivalent atoms:
Rb  0.0000  0.0000  0.0000
Rb  0.0000  0.1842  0.9185
Mn  0.0000  0.4165  0.9219
Cl  0.0000  0.3140  0.9166
Cl  0.0000  0.4106  0.4127
F  0.0000  0.0820  0.4075
F  0.0000  0.5000  0.8959

Largest 10 diffraction maxima, sorted by position, 10° ≤ 2θ ≤ 80°:
- 3.672 Å, I = 28, hkl 0 5 1
- 3.314 Å, I = 100, hkl 1 0 1
- 3.231 Å, I = 13, hkl 0 8 0
- 2.629 Å, I = 43, hkl 1 6 1
- 2.608 Å, I = 37, hkl 0 0 2
- 2.585 Å, I = 18, hkl 0 10 0
- 2.155 Å, I = 13, hkl 0 12 0
- 2.151 Å, I = 24, hkl 2 0 0
- 2.048 Å, I = 17, hkl 1 5 2
- 1.660 Å, I = 23, hkl 2 0 2

This entry pairs a crystal structure of MoClF3 with its simulated powder XRD pattern. Radiation: λ = 1.5418 Å (Cu Kα). Structure: a GGA+U-relaxed structure.

a = 8.5097 Å, b = 5.1676 Å, c = 11.9813 Å
α = 90.00°, β = 131.95°, γ = 90.00°
Space group P2_1/c (No. 14)
One atom of each set of equivalent atoms:
Mo  0.2388  0.0086  0.3638
Cl  0.2642  0.1966  0.2026
F  0.0080  0.2401  0.8057
F  0.2235  0.6616  0.9986
F  0.4961  0.7242  0.9526

Largest 10 diffraction maxima, sorted by position, 10° ≤ 2θ ≤ 80°:
- 5.984 Å, I = 100, hkl 1 0 -2
- 4.470 Å, I = 54, hkl 0 1 1
- 4.415 Å, I = 62, hkl 1 1 -1
- 3.183 Å, I = 31, hkl 1 1 1
- 3.164 Å, I = 24, hkl 2 0 0
- 3.124 Å, I = 21, hkl 2 1 -1
- 2.589 Å, I = 13, hkl 2 1 -4
- 2.372 Å, I = 12, hkl 1 2 -2
- 1.915 Å, I = 16, hkl 1 2 2
- 1.881 Å, I = 19, hkl 3 2 -2

This entry pairs a crystal structure of MoClF3 with its simulated powder XRD pattern. Radiation: λ = 1.5418 Å (Cu Kα). Structure: a GGA+U-relaxed structure.

a = 5.8735 Å, b = 5.8735 Å, c = 10.0755 Å
α = 90.00°, β = 90.00°, γ = 90.00°
Space group P4_1 (No. 76)
One atom of each set of equivalent atoms:
Mo  0.1349  0.6375  0.0000
Cl  0.1914  0.3865  0.6183
F  0.0482  0.2082  0.3414
F  0.1078  0.3571  0.9096
F  0.3033  0.4449  0.1489

Largest 10 diffraction maxima, sorted by position, 10° ≤ 2θ ≤ 80°:
- 5.074 Å, I = 62, hkl 1 0 1
- 4.153 Å, I = 20, hkl 1 1 0
- 3.830 Å, I = 100, hkl 1 0 2
- 3.205 Å, I = 25, hkl 1 1 2
- 2.916 Å, I = 29, hkl 1 0 3
- 2.819 Å, I = 40, hkl 2 0 1
- 2.069 Å, I = 25, hkl 2 1 3
- 1.920 Å, I = 15, hkl 2 2 2
- 1.826 Å, I = 33, hkl 3 0 2
- 1.818 Å, I = 36, hkl 1 2 4

This entry pairs a crystal structure of Na3MoCl2F6 with its simulated powder XRD pattern. Radiation: λ = 1.5418 Å (Cu Kα). Structure: a GGA+U-relaxed structure.

a = 13.8793 Å, b = 7.0018 Å, c = 4.7178 Å
α = 90.00°, β = 90.55°, γ = 90.00°
Space group C2/m (No. 12)
One atom of each set of equivalent atoms:
Na  0.0000  0.0000  0.0000
Na  0.2500  0.2500  0.5000
Mo  0.0000  0.5000  0.5000
Cl  0.1858  0.0000  0.8744
F  0.0441  0.2980  0.2588
F  0.1303  0.5000  0.6570

Largest 10 diffraction maxima, sorted by position, 10° ≤ 2θ ≤ 80°:
- 6.939 Å, I = 30, hkl 2 0 0
- 6.251 Å, I = 57, hkl 1 1 0
- 3.860 Å, I = 33, hkl 3 1 0
- 3.763 Å, I = 100, hkl 1 1 1
- 3.470 Å, I = 21, hkl 4 0 0
- 2.782 Å, I = 23, hkl 4 0 1
- 2.611 Å, I = 47, hkl 2 2 -1
- 2.255 Å, I = 15, hkl 5 1 1
- 2.068 Å, I = 17, hkl 1 3 1
- 1.930 Å, I = 15, hkl 6 2 0

This entry pairs a crystal structure of Tl2MoCl2F4 with its simulated powder XRD pattern. Radiation: λ = 1.5418 Å (Cu Kα). Structure: a GGA+U-relaxed structure.

a = 12.2117 Å, b = 6.2273 Å, c = 5.3912 Å
α = 90.00°, β = 93.88°, γ = 90.00°
Space group C2/m (No. 12)
One atom of each set of equivalent atoms:
Tl  0.1457  0.0000  0.1549
Mo  0.0000  0.5000  0.5000
Cl  0.1847  0.5000  0.3348
F  0.0479  0.2712  0.7380

Largest 10 diffraction maxima, sorted by position, 10° ≤ 2θ ≤ 80°:
- 3.922 Å, I = 100, hkl 1 1 -1
- 3.903 Å, I = 49, hkl 2 0 1
- 3.402 Å, I = 55, hkl 3 1 0
- 3.114 Å, I = 33, hkl 0 2 0
- 2.804 Å, I = 18, hkl 3 1 1
- 2.731 Å, I = 34, hkl 4 0 -1
- 2.434 Å, I = 39, hkl 2 2 1
- 2.391 Å, I = 35, hkl 1 1 2
- 2.053 Å, I = 18, hkl 4 2 -1
- 1.961 Å, I = 20, hkl 2 2 -2